No. 1
Calculated powder XRD pattern
Compound: Ca2SeBr
Radiation: a wavelength of 1.5418 Å
Structure: a GGA-PBE-relaxed structure
Neutral-atom scattering factors, no anomalous dispersion.

Atomic structure:
a b c (Å): 14.8158 4.0339 4.0405
angles (deg): 90.00 90.03 90.00
Space group Cm (No. 8)
Symmetry-distinct sites (fractional):
Ca  0.0000  0.0000  0.0000 (multiplicity 2)
Ca  0.2006  0.0000  0.5006 (multiplicity 2)
Se  0.1531  0.5000  0.0005 (multiplicity 2)
Br  0.4029  0.0000  0.5016 (multiplicity 2)

Peak list (12 most intense, 2θ from 15° to 90°, by angle)
| 2theta | intensity | (hkl) |
| --- | --- | --- |
| 24.03 | 52 | 4 0 0 |
| 25.10 | 60 | 2 0 -1 |
| 28.57 | 32 | 3 1 0 |
| 31.93 | 100 | 1 1 -1 |
| 36.35 | 65 | 3 1 1 |
| 37.67 | 40 | 5 1 0 |
| 42.92 | 36 | 6 0 1 |
| 44.05 | 20 | 5 1 -1 |
| 44.90 | 44 | 0 2 0 |
| 51.56 | 24 | 4 0 2 |
| 63.89 | 21 | 6 2 1 |
| 65.41 | 23 | 0 2 2 |

---

No. 2
Calculated powder XRD pattern
Compound: Sr2CaSe2Br2
Radiation: a wavelength of 1.5418 Å
Structure: a GGA-PBE-relaxed structure
Neutral-atom scattering factors, no anomalous dispersion.

Atomic structure:
a b c (Å): 5.5211 5.5211 15.6553
angles (deg): 90.00 90.00 90.00
Space group I4/mmm (No. 139)
Symmetry-distinct sites (fractional):
Sr  0.0000  0.0000  0.1163 (multiplicity 4)
Ca  0.0000  0.0000  0.5000 (multiplicity 2)
Se  0.0000  0.5000  0.0000 (multiplicity 4)
Br  0.0000  0.0000  0.3068 (multiplicity 4)

Peak list (12 most intense, 2θ from 15° to 90°, by angle)
| 2theta | intensity | (hkl) |
| --- | --- | --- |
| 22.78 | 29 | 1 1 0 |
| 25.50 | 42 | 1 1 2 |
| 32.42 | 100 | 2 0 0 |
| 32.89 | 56 | 1 0 5 |
| 46.52 | 24 | 2 2 0 |
| 46.86 | 40 | 2 1 5 |
| 53.80 | 11 | 3 1 2 |
| 57.81 | 16 | 3 1 4 |
| 58.14 | 10 | 3 0 5 |
| 67.89 | 10 | 4 0 0 |
| 68.17 | 13 | 3 2 5 |
| 77.28 | 13 | 4 2 0 |

---

No. 3
Calculated powder XRD pattern
Compound: Ca4SiBr3
Radiation: a wavelength of 1.5418 Å
Structure: a GGA-PBE-relaxed structure
Neutral-atom scattering factors, no anomalous dispersion.

Atomic structure:
a b c (Å): 7.4594 8.8145 7.5429
angles (deg): 90.00 108.95 90.00
Space group P2/c (No. 13)
Symmetry-distinct sites (fractional):
Ca  0.2180  0.1021  0.4988 (multiplicity 4)
Ca  0.2295  0.3538  0.9756 (multiplicity 4)
Si  0.0000  0.1297  0.7500 (multiplicity 2)
Br  0.0000  0.3802  0.2500 (multiplicity 2)
Br  0.5000  0.1410  0.2500 (multiplicity 2)
Br  0.5000  0.4004  0.7500 (multiplicity 2)

Peak list (12 most intense, 2θ from 15° to 90°, by angle)
| 2theta | intensity | (hkl) |
| --- | --- | --- |
| 24.93 | 13 | 0 0 2 |
| 28.81 | 100 | 1 2 1 |
| 29.26 | 50 | 2 0 -2 |
| 40.96 | 16 | 0 4 0 |
| 41.37 | 53 | 1 2 -3 |
| 41.71 | 33 | 3 2 -1 |
| 51.16 | 25 | 0 0 4 |
| 51.84 | 8 | 4 0 0 |
| 59.67 | 9 | 2 4 2 |
| 67.93 | 6 | 3 2 3 |
| 68.28 | 7 | 3 2 -5 |
| 68.80 | 6 | 5 2 -3 |

---

No. 4
Calculated powder XRD pattern
Compound: Ca3SiBr2
Radiation: a wavelength of 1.5418 Å
Structure: a GGA-PBE-relaxed structure
Neutral-atom scattering factors, no anomalous dispersion.

Atomic structure:
a b c (Å): 8.8016 12.4563 26.1224
angles (deg): 90.00 90.00 90.00
Space group Fddd (No. 70, origin choice 2)
Symmetry-distinct sites (fractional):
Ca  0.0863  0.3750  0.3750 (multiplicity 16)
Ca  0.1102  0.3548  0.2157 (multiplicity 32)
Si  0.1250  0.1250  0.0409 (multiplicity 16)
Br  0.1250  0.1250  0.3819 (multiplicity 16)
Br  0.1250  0.1250  0.5482 (multiplicity 16)

Peak list (12 most intense, 2θ from 15° to 90°, by angle)
| 2theta | intensity | (hkl) |
| --- | --- | --- |
| 26.92 | 10 | 1 1 7 |
| 28.67 | 52 | 0 4 0 |
| 28.85 | 100 | 2 0 6 |
| 33.86 | 9 | 1 3 7 |
| 41.02 | 17 | 4 0 0 |
| 41.12 | 68 | 2 4 6 |
| 41.48 | 16 | 0 0 12 |
| 50.81 | 17 | 4 4 0 |
| 51.19 | 17 | 0 4 12 |
| 59.75 | 10 | 4 0 12 |
| 67.33 | 18 | 2 8 6 |
| 67.60 | 11 | 4 4 12 |